# Nd2InCoNi
Simulated XRD peak list, Cu Kα (weighted mean of Kα1 and Kα2). Input: DFT lattice parameters and positions (PBE).

Crystal structure
```
data_Nd2InCoNi
_cell_length_a 3.946
_cell_length_b 3.946
_cell_length_c 14.284
_cell_angle_alpha 90.00
_cell_angle_beta 90.00
_cell_angle_gamma 90.00
_symmetry_space_group_name_H-M 'A m m 2'
_symmetry_Int_Tables_number 38
loop_
_symmetry_equiv_pos_as_xyz
'x,y,z'
'-x,-y,z'
'-x,y,z'
'x,-y,z'
'x,y+1/2,z+1/2'
'-x,-y+1/2,z+1/2'
'-x,y+1/2,z+1/2'
'x,-y+1/2,z+1/2'
loop_
_atom_site_label
_atom_site_fract_x
_atom_site_fract_y
_atom_site_fract_z
Nd1 0.000 0.000 0.000
Nd2 0.000 0.000 0.272
In1 0.500 0.000 0.635
Co1 0.500 0.000 0.431
Ni1 0.500 0.000 0.839
```

Top 12 peaks for 2θ = 10–80°, by intensity:
hkl 1 1 1, 32.70°, rel. 100; hkl 1 0 4, 33.85°, rel. 77; hkl 2 0 0, 46.00°, rel. 46; hkl 0 1 3, 29.40°, rel. 39; hkl 0 1 5, 38.92°, rel. 35; hkl 1 2 4, 58.33°, rel. 32; hkl 1 1 3, 37.35°, rel. 29; hkl 2 1 5, 61.79°, rel. 17; hkl 3 1 1, 76.65°, rel. 16; hkl 1 1 7, 55.82°, rel. 15; hkl 2 2 0, 67.09°, rel. 14; hkl 2 1 3, 55.53°, rel. 13


# NiSe
Simulated XRD peak list, Cu Kα (weighted mean of Kα1 and Kα2). Input: DFT lattice parameters and positions (PBE).

Crystal structure
```
data_NiSe
_cell_length_a 3.478
_cell_length_b 3.478
_cell_length_c 6.166
_cell_angle_alpha 90.00
_cell_angle_beta 90.00
_cell_angle_gamma 90.00
_symmetry_space_group_name_H-M 'P 42/m m c'
_symmetry_Int_Tables_number 131
_symmetry_space_group_name_Hall '-P 4c 2'
loop_
_atom_site_label
_atom_site_fract_x
_atom_site_fract_y
_atom_site_fract_z
Ni1 0.000 0.500 0.000
Se1 0.000 0.000 0.250
```

Top 12 peaks for 2θ = 10–80°, by intensity:
hkl 1 1 2, 47.28°, rel. 100; hkl 1 0 0, 25.61°, rel. 83; hkl 1 0 1, 29.48°, rel. 78; hkl 1 0 2, 39.04°, rel. 53; hkl 2 0 0, 52.62°, rel. 36; hkl 2 1 2, 67.44°, rel. 21; hkl 2 1 1, 61.48°, rel. 17; hkl 2 1 0, 59.42°, rel. 15; hkl 1 0 3, 51.66°, rel. 15; hkl 0 0 4, 60.02°, rel. 12; hkl 2 2 0, 77.64°, rel. 11; hkl 1 0 4, 66.33°, rel. 11


# K3RbBi2Pd2
Simulated XRD peak list, Cu Kα (weighted mean of Kα1 and Kα2). Input: DFT lattice parameters and positions (PBE).

Crystal structure
```
data_K3RbBi2Pd2
_cell_length_a 6.708
_cell_length_b 6.280
_cell_length_c 6.913
_cell_angle_alpha 90.00
_cell_angle_beta 107.29
_cell_angle_gamma 90.00
_symmetry_space_group_name_H-M 'P 1 m 1'
_symmetry_Int_Tables_number 6
loop_
_symmetry_equiv_pos_as_xyz
'x,y,z'
'x,-y,z'
loop_
_atom_site_label
_atom_site_fract_x
_atom_site_fract_y
_atom_site_fract_z
K1 0.000 0.000 0.000
K2 0.324 0.500 0.332
K3 0.651 0.000 0.335
Rb1 0.974 0.500 0.680
Bi1 0.230 0.000 0.561
Bi2 0.757 0.500 0.106
Pd1 0.465 0.240 0.870
```

Top 12 peaks for 2θ = 10–80°, by intensity:
hkl 1 0 -1, 16.17°, rel. 100; hkl 2 1 -1, 30.66°, rel. 71; hkl 1 1 0, 19.80°, rel. 64; hkl 1 1 -2, 30.10°, rel. 64; hkl 1 2 1, 36.25°, rel. 58; hkl 0 1 1, 19.51°, rel. 45; hkl 0 2 2, 39.62°, rel. 32; hkl 2 3 -1, 51.77°, rel. 24; hkl 2 2 0, 40.22°, rel. 24; hkl 2 0 2, 44.87°, rel. 21; hkl 2 1 1, 37.51°, rel. 20; hkl 2 0 -2, 32.67°, rel. 19


# Ga2Au2Se3S
Simulated XRD peak list, Cu Kα (weighted mean of Kα1 and Kα2). Input: DFT lattice parameters and positions (PBE).

Crystal structure
```
data_Ga2Au2Se3S
_cell_length_a 12.591
_cell_length_b 5.921
_cell_length_c 5.890
_cell_angle_alpha 90.00
_cell_angle_beta 116.84
_cell_angle_gamma 90.00
_symmetry_space_group_name_H-M 'C 1 2 1'
_symmetry_Int_Tables_number 5
loop_
_symmetry_equiv_pos_as_xyz
'x,y,z'
'-x,y,-z'
'x+1/2,y+1/2,z'
'-x+1/2,y+1/2,-z'
loop_
_atom_site_label
_atom_site_fract_x
_atom_site_fract_y
_atom_site_fract_z
Ga1 0.123 0.000 0.376
Au1 0.117 0.524 0.851
Se1 0.000 0.232 0.000
Se2 0.250 0.250 0.731
S1 0.000 0.786 0.500
```

Top 12 peaks for 2θ = 10–80°, by intensity:
hkl 3 1 -1, 26.77°, rel. 100; hkl 1 1 1, 26.43°, rel. 84; hkl 2 2 -2, 43.34°, rel. 44; hkl 4 2 0, 44.47°, rel. 40; hkl 1 3 1, 51.39°, rel. 33; hkl 1 1 0, 16.91°, rel. 28; hkl 6 0 -2, 45.01°, rel. 20; hkl 2 0 2, 44.16°, rel. 20; hkl 5 1 1, 53.37°, rel. 14; hkl 5 1 -3, 51.98°, rel. 13; hkl 1 1 -2, 34.82°, rel. 13; hkl 2 4 2, 79.91°, rel. 12


# GaPt15
Simulated XRD peak list, Cu Kα (weighted mean of Kα1 and Kα2). Input: DFT lattice parameters and positions (PBE).

Crystal structure
```
data_GaPt15
_cell_length_a 5.541
_cell_length_b 2.810
_cell_length_c 45.340
_cell_angle_alpha 90.00
_cell_angle_beta 90.01
_cell_angle_gamma 90.00
_symmetry_space_group_name_H-M 'P 1 21/m 1'
_symmetry_Int_Tables_number 11
loop_
_symmetry_equiv_pos_as_xyz
'x,y,z'
'-x,-y,-z'
'-x,y+1/2,-z'
'x,-y+1/2,z'
loop_
_atom_site_label
_atom_site_fract_x
_atom_site_fract_y
_atom_site_fract_z
Ga1 0.125 0.250 0.330
Pt1 0.122 0.250 0.712
Pt2 0.124 0.250 0.801
Pt3 0.125 0.250 0.066
Pt4 0.125 0.250 0.155
Pt5 0.125 0.250 0.244
Pt6 0.125 0.250 0.890
Pt7 0.125 0.250 0.978
Pt8 0.372 0.750 0.288
Pt9 0.374 0.750 0.199
Pt10 0.375 0.750 0.022
Pt11 0.375 0.750 0.110
Pt12 0.375 0.750 0.669
Pt13 0.375 0.750 0.757
Pt14 0.375 0.750 0.846
Pt15 0.375 0.750 0.934
```

Top 12 peaks for 2θ = 10–80°, by intensity:
hkl 2 1 0, 46.02°, rel. 100; hkl 0 1 11, 38.78°, rel. 82; hkl 2 0 11, 39.18°, rel. 79; hkl 0 1 12, 39.99°, rel. 39; hkl 2 0 12, 40.37°, rel. 38; hkl 2 1 23, 67.13°, rel. 31; hkl 2 1 22, 65.50°, rel. 22; hkl 0 0 22, 43.94°, rel. 19; hkl 0 2 0, 66.56°, rel. 13; hkl 4 0 0, 67.64°, rel. 12; hkl 0 1 34, 79.57°, rel. 12; hkl 2 0 34, 79.82°, rel. 12


# Pr2GdCu4Pb4
Simulated XRD peak list, Cu Kα (weighted mean of Kα1 and Kα2). Input: DFT lattice parameters and positions (PBE).

Crystal structure
```
data_Pr2GdCu4Pb4
_cell_length_a 4.695
_cell_length_b 7.086
_cell_length_c 15.338
_cell_angle_alpha 90.00
_cell_angle_beta 90.00
_cell_angle_gamma 90.00
_symmetry_space_group_name_H-M 'I m m m'
_symmetry_Int_Tables_number 71
_symmetry_space_group_name_Hall '-I 2 2'
loop_
_atom_site_label
_atom_site_fract_x
_atom_site_fract_y
_atom_site_fract_z
Pr1 0.000 0.000 0.133
Gd1 0.000 0.500 0.000
Cu1 0.000 0.185 0.331
Pb1 0.000 0.290 0.500
Pb2 0.000 0.500 0.214
```

Top 12 peaks for 2θ = 10–80°, by intensity:
hkl 1 2 1, 32.19°, rel. 100; hkl 1 1 4, 32.70°, rel. 85; hkl 2 0 0, 38.35°, rel. 47; hkl 1 2 5, 43.53°, rel. 40; hkl 0 1 5, 31.79°, rel. 26; hkl 1 0 3, 25.76°, rel. 23; hkl 0 2 2, 27.74°, rel. 23; hkl 1 3 2, 44.54°, rel. 19; hkl 3 1 4, 65.80°, rel. 18; hkl 0 0 6, 35.10°, rel. 18; hkl 1 5 4, 74.13°, rel. 17; hkl 2 1 5, 50.63°, rel. 14


# Ba2CdS2F2
Simulated XRD peak list, Cu Kα (weighted mean of Kα1 and Kα2). Input: DFT lattice parameters and positions (PBE).

Crystal structure
```
data_Ba2CdS2F2
_cell_length_a 4.167
_cell_length_b 4.167
_cell_length_c 9.349
_cell_angle_alpha 90.00
_cell_angle_beta 90.00
_cell_angle_gamma 90.00
_symmetry_space_group_name_H-M 'P -4 m 2'
_symmetry_Int_Tables_number 115
loop_
_symmetry_equiv_pos_as_xyz
'x,y,z'
'y,-x,-z'
'-x,-y,z'
'-y,x,-z'
'-x,y,z'
'-y,-x,-z'
'x,-y,z'
'y,x,-z'
loop_
_atom_site_label
_atom_site_fract_x
_atom_site_fract_y
_atom_site_fract_z
Ba1 0.000 0.500 0.172
Cd1 0.500 0.500 0.500
S1 0.000 0.500 0.667
F1 0.000 0.000 0.000
F2 0.500 0.500 0.000
```

Top 12 peaks for 2θ = 10–80°, by intensity:
hkl 1 0 2, 28.69°, rel. 100; hkl 1 0 1, 23.37°, rel. 65; hkl 1 1 2, 36.03°, rel. 63; hkl 2 1 2, 52.88°, rel. 41; hkl 2 0 0, 43.44°, rel. 34; hkl 1 0 4, 44.44°, rel. 28; hkl 1 1 1, 31.85°, rel. 19; hkl 2 1 4, 63.89°, rel. 19; hkl 2 1 1, 49.90°, rel. 17; hkl 1 1 4, 49.80°, rel. 16; hkl 1 0 0, 21.32°, rel. 13; hkl 3 1 2, 74.87°, rel. 13


# ThB4I
Simulated XRD peak list, Cu Kα (weighted mean of Kα1 and Kα2). Input: DFT lattice parameters and positions (PBE).

Crystal structure
```
data_ThB4I
_cell_length_a 5.995
_cell_length_b 7.063
_cell_length_c 5.427
_cell_angle_alpha 90.00
_cell_angle_beta 90.00
_cell_angle_gamma 90.00
_symmetry_space_group_name_H-M 'C m m m'
_symmetry_Int_Tables_number 65
_symmetry_space_group_name_Hall '-C 2 2'
loop_
_atom_site_label
_atom_site_fract_x
_atom_site_fract_y
_atom_site_fract_z
Th1 0.000 0.000 0.000
B1 0.000 0.388 0.000
B2 0.125 0.000 0.500
I1 0.000 0.500 0.500
```

Top 12 peaks for 2θ = 10–80°, by intensity:
hkl 1 1 1, 25.48°, rel. 100; hkl 0 2 0, 25.22°, rel. 34; hkl 1 3 1, 44.60°, rel. 26; hkl 2 0 0, 29.81°, rel. 22; hkl 2 2 0, 39.43°, rel. 19; hkl 3 1 1, 50.35°, rel. 19; hkl 0 0 2, 33.01°, rel. 18; hkl 0 2 2, 41.99°, rel. 17; hkl 2 2 2, 52.34°, rel. 17; hkl 2 0 2, 45.07°, rel. 14; hkl 1 1 3, 54.56°, rel. 13; hkl 3 3 1, 63.42°, rel. 11


# SmTmZn2Ge2
Simulated XRD peak list, Cu Kα (weighted mean of Kα1 and Kα2). Input: DFT lattice parameters and positions (PBE).

Crystal structure
```
data_SmTmZn2Ge2
_cell_length_a 4.2420
_cell_length_b 4.2420
_cell_length_c 15.6342
_cell_angle_alpha 90.00
_cell_angle_beta 90.00
_cell_angle_gamma 120.00
_symmetry_space_group_name_H-M 'P 63/m m c'
_symmetry_Int_Tables_number 194
_symmetry_space_group_name_Hall '-P 6c 2c'
loop_
_atom_site_label
_atom_site_fract_x
_atom_site_fract_y
_atom_site_fract_z
Sm1 0.0000 0.0000 0.0000
Tm1 0.0000 0.0000 0.2500
Zn1 0.3333 0.6667 0.1521
Ge1 0.3333 0.6667 0.6173
```

Top 12 peaks for 2θ = 10–80°, by intensity:
hkl 1 0 4, 33.48°, rel. 100; hkl 1 1 0, 42.63°, rel. 49; hkl 2 0 4, 55.26°, rel. 24; hkl 2 1 4, 72.20°, rel. 21; hkl 1 1 8, 64.88°, rel. 17; hkl 1 0 0, 24.23°, rel. 16; hkl 3 0 0, 78.03°, rel. 8; hkl 0 0 8, 46.47°, rel. 8; hkl 1 0 8, 53.08°, rel. 7; hkl 1 0 12, 77.78°, rel. 5; hkl 1 0 7, 47.65°, rel. 5; hkl 1 0 3, 29.75°, rel. 3


# Sm2P3Pt6
Simulated XRD peak list, Cu Kα (weighted mean of Kα1 and Kα2). Input: DFT lattice parameters and positions (PBE).

Crystal structure
```
data_Sm2P3Pt6
_cell_length_a 4.139
_cell_length_b 4.139
_cell_length_c 45.833
_cell_angle_alpha 90.00
_cell_angle_beta 90.00
_cell_angle_gamma 90.00
_symmetry_space_group_name_H-M 'I 41/a m d'
_symmetry_Int_Tables_number 141
loop_
_symmetry_equiv_pos_as_xyz
'x,y,z'
'-x,-y,-z'
'-y+1/4,x+3/4,z+1/4'
'y+1/4,-x+3/4,-z+1/4'
'-x+1/2,-y,z+1/2'
'x+1/2,y,-z+1/2'
'y+1/4,-x+1/4,z+3/4'
'-y+1/4,x+1/4,-z+3/4'
'x,-y,-z'
'-x,y,z'
'-y+1/4,-x+1/4,-z+3/4'
'y+1/4,x+1/4,z+3/4'
'-x+1/2,y,-z+1/2'
'x+1/2,-y,z+1/2'
'y+1/4,x+3/4,-z+1/4'
'-y+1/4,-x+3/4,z+1/4'
'x+1/2,y+1/2,z+1/2'
'-x+1/2,-y+1/2,-z+1/2'
'-y+3/4,x+1/4,z+3/4'
'y+3/4,-x+1/4,-z+3/4'
'-x,-y+1/2,z'
'x,y+1/2,-z'
'y+3/4,-x+3/4,z+1/4'
'-y+3/4,x+3/4,-z+1/4'
'x+1/2,-y+1/2,-z+1/2'
'-x+1/2,y+1/2,z+1/2'
'-y+3/4,-x+3/4,-z+1/4'
'y+3/4,x+3/4,z+1/4'
'-x,y+1/2,-z'
'x,-y+1/2,z'
'y+3/4,x+1/4,-z+3/4'
'-y+3/4,-x+1/4,z+3/4'
loop_
_atom_site_label
_atom_site_fract_x
_atom_site_fract_y
_atom_site_fract_z
Sm1 0.000 0.250 0.075
P1 0.000 0.250 0.200
P2 0.000 0.250 0.375
Pt1 0.000 0.250 0.149
Pt2 0.000 0.250 0.273
Pt3 0.000 0.250 0.774
```

Top 12 peaks for 2θ = 10–80°, by intensity:
hkl 1 1 10, 36.43°, rel. 100; hkl 2 0 0, 43.75°, rel. 62; hkl 1 1 6, 32.77°, rel. 49; hkl 3 1 10, 75.56°, rel. 26; hkl 1 1 2, 30.80°, rel. 21; hkl 2 2 0, 63.59°, rel. 21; hkl 2 0 16, 54.73°, rel. 18; hkl 1 0 13, 33.39°, rel. 17; hkl 1 1 30, 69.39°, rel. 17; hkl 0 0 16, 31.22°, rel. 16; hkl 1 0 15, 36.55°, rel. 15; hkl 1 0 17, 39.91°, rel. 13


# TbGdNp
Simulated XRD peak list, Cu Kα (weighted mean of Kα1 and Kα2). Input: DFT lattice parameters and positions (PBE).

Crystal structure
```
data_TbGdNp
_cell_length_a 7.489
_cell_length_b 7.489
_cell_length_c 7.489
_cell_angle_alpha 90.00
_cell_angle_beta 90.00
_cell_angle_gamma 90.00
_symmetry_space_group_name_H-M 'F -4 3 m'
_symmetry_Int_Tables_number 216
_symmetry_space_group_name_Hall 'F -4 2 3'
loop_
_atom_site_label
_atom_site_fract_x
_atom_site_fract_y
_atom_site_fract_z
Tb1 0.000 0.000 0.000
Gd1 0.250 0.250 0.250
Np1 0.250 0.250 0.750
```

Top 12 peaks for 2θ = 10–80°, by intensity:
hkl 2 2 0, 33.86°, rel. 100; hkl 4 2 2, 60.57°, rel. 38; hkl 1 1 1, 20.54°, rel. 24; hkl 2 0 0, 23.76°, rel. 21; hkl 4 0 0, 48.63°, rel. 18; hkl 3 1 1, 39.93°, rel. 13; hkl 4 4 0, 71.23°, rel. 12; hkl 4 2 0, 54.82°, rel. 9; hkl 2 2 2, 41.78°, rel. 7; hkl 3 3 1, 53.32°, rel. 6; hkl 6 0 0, 76.29°, rel. 4; hkl 5 1 1, 64.68°, rel. 4


# La2Os2I
Simulated XRD peak list, Cu Kα (weighted mean of Kα1 and Kα2). Input: DFT lattice parameters and positions (PBE).

Crystal structure
```
data_La2Os2I
_cell_length_a 4.3358
_cell_length_b 4.3358
_cell_length_c 8.9829
_cell_angle_alpha 90.00
_cell_angle_beta 90.00
_cell_angle_gamma 120.00
_symmetry_space_group_name_H-M 'P -6 m 2'
_symmetry_Int_Tables_number 187
_symmetry_space_group_name_Hall 'P -6 2'
loop_
_atom_site_label
_atom_site_fract_x
_atom_site_fract_y
_atom_site_fract_z
La1 0.0000 0.0000 0.2161
Os1 0.3333 0.6667 0.0000
Os2 0.6667 0.3333 0.0000
I1 0.6667 0.3333 0.5000
```

Top 12 peaks for 2θ = 10–80°, by intensity:
hkl 1 0 2, 31.04°, rel. 100; hkl 1 1 0, 41.66°, rel. 51; hkl 1 1 4, 59.24°, rel. 28; hkl 2 0 2, 52.85°, rel. 22; hkl 1 0 3, 38.45°, rel. 20; hkl 2 1 2, 69.46°, rel. 20; hkl 1 1 1, 42.92°, rel. 15; hkl 0 0 4, 40.15°, rel. 15; hkl 0 0 2, 19.77°, rel. 12; hkl 1 0 1, 25.71°, rel. 10; hkl 1 1 5, 67.74°, rel. 10; hkl 3 0 0, 76.04°, rel. 9


# Gd3Tl4Pb3
Simulated XRD peak list, Cu Kα (weighted mean of Kα1 and Kα2). Input: DFT lattice parameters and positions (PBE).

Crystal structure
```
data_Gd3Tl4Pb3
_cell_length_a 4.662
_cell_length_b 25.642
_cell_length_c 4.686
_cell_angle_alpha 90.00
_cell_angle_beta 90.00
_cell_angle_gamma 90.00
_symmetry_space_group_name_H-M 'C m m m'
_symmetry_Int_Tables_number 65
_symmetry_space_group_name_Hall '-C 2 2'
loop_
_atom_site_label
_atom_site_fract_x
_atom_site_fract_y
_atom_site_fract_z
Gd1 0.000 0.000 0.000
Gd2 0.000 0.189 0.000
Tl1 0.000 0.098 0.500
Tl2 0.000 0.403 0.000
Pb1 0.000 0.295 0.500
Pb2 0.000 0.500 0.500
```

Top 12 peaks for 2θ = 10–80°, by intensity:
hkl 1 5 1, 32.22°, rel. 100; hkl 0 10 0, 34.99°, rel. 18; hkl 0 0 2, 38.42°, rel. 16; hkl 2 0 0, 38.62°, rel. 16; hkl 1 15 1, 61.03°, rel. 13; hkl 1 5 3, 65.61°, rel. 13; hkl 3 5 1, 65.89°, rel. 13; hkl 0 10 2, 52.94°, rel. 12; hkl 2 10 0, 53.10°, rel. 11; hkl 2 10 2, 67.42°, rel. 11; hkl 2 0 2, 55.62°, rel. 11; hkl 0 20 0, 73.93°, rel. 2


# TlB2W3
Simulated XRD peak list, Cu Kα (weighted mean of Kα1 and Kα2). Input: DFT lattice parameters and positions (PBE).

Crystal structure
```
data_TlB2W3
_cell_length_a 3.1476
_cell_length_b 3.1476
_cell_length_c 19.6839
_cell_angle_alpha 90.00
_cell_angle_beta 90.00
_cell_angle_gamma 120.00
_symmetry_space_group_name_H-M 'P 63/m m c'
_symmetry_Int_Tables_number 194
_symmetry_space_group_name_Hall '-P 6c 2c'
loop_
_atom_site_label
_atom_site_fract_x
_atom_site_fract_y
_atom_site_fract_z
Tl1 0.0000 0.0000 0.2500
B1 0.3333 0.6667 0.0667
W1 0.0000 0.0000 0.0000
W2 0.3333 0.6667 0.6266
```

Top 12 peaks for 2θ = 10–80°, by intensity:
hkl 1 0 4, 37.73°, rel. 100; hkl 0 0 8, 36.52°, rel. 30; hkl 1 1 8, 71.11°, rel. 27; hkl 1 1 0, 58.66°, rel. 25; hkl 1 0 1, 33.18°, rel. 21; hkl 1 0 12, 66.53°, rel. 19; hkl 1 0 5, 40.24°, rel. 16; hkl 2 0 4, 71.88°, rel. 16; hkl 1 0 3, 35.67°, rel. 15; hkl 1 0 0, 32.86°, rel. 8; hkl 1 0 7, 46.39°, rel. 8; hkl 1 0 9, 53.73°, rel. 7